The following is a simulated PXRD pattern of MgSi2. It was derived from a cell relaxed with GGA-PBE, using Cu Ka.

Peak list (10 most intense, 10° ≤ 2θ ≤ 90°, sorted by position)
Position (°2θ)  I (rel.)
16.01  200
26.63  252
32.13  369
32.34  226
36.78  207
38.60  397
39.84  1000
41.86  348
45.01  364
45.53  416

Structural model:
Cell lengths 5.290, 5.290, 6.286 Å; angles 116.02, 116.02, 44.25 degrees
Fractional positions:
Mg1 0.149 0.149 0.286
Mg2 0.851 0.851 0.714
Si1 0.146 0.146 0.720
Si2 0.405 0.405 0.088
Si3 0.595 0.595 0.912
Si4 0.854 0.854 0.280